Structure and calculated X-ray diffraction stick pattern of TeWCl9 (DFT lattice parameters and positions (PBE); Cu Kα (weighted mean of Kα1 and Kα2)).
Lines closer than 0.1° are merged.

Structural model:
Unit cell a=6.731 b=9.892 c=11.852 alpha=108.40 beta=104.24 gamma=92.32
Space group P-1 (No. 2)
Asymmetric unit:
Te 0.196 0.154 0.337
W 0.377 0.234 0.787
Cl 0.021 0.357 0.349
Cl 0.129 0.187 0.589
Cl 0.140 0.343 0.881
Cl 0.215 0.120 0.135
Cl 0.238 0.002 0.781
Cl 0.389 0.746 0.031
Cl 0.392 0.890 0.328
Cl 0.477 0.710 0.568
Cl 0.483 0.557 0.222

Most intense lines, 15 to 90 degrees two-theta, most intense first:
| 2θ (°) | I_rel |
| --- | --- |
| 16.34 | 1000 |
| 15.64 | 689 |
| 15.94 | 639 |
| 19.07 | 420 |
| 22.30 | 414 |
| 17.67 | 410 |
| 39.45 | 371 |
| 40.27 | 280 |
| 22.05 | 265 |
| 30.32 | 264 |
| 39.79 | 247 |
| 30.83 | 239 |